# BaAgO3
Calculated powder X-ray diffraction pattern, Cu Kα (weighted mean of Kα1 and Kα2). Input: a GGA-PBE-relaxed structure.

Main lines, most intense first (2θ from 10° to 80°):
hkl 1 1 0, 2θ 28.20, I 100
hkl 1 0 1, 2θ 25.14, I 65
hkl 0 1 1, 2θ 26.74, I 53
hkl 1 -1 0, 2θ 33.39, I 44
hkl 1 0 -1, 2θ 32.27, I 40
hkl 0 0 2, 2θ 35.96, I 38
hkl 2 0 0, 2θ 46.18, I 29
hkl 0 2 0, 2θ 42.28, I 25
hkl 1 2 1, 2θ 45.35, I 19
hkl 1 2 -1, 2θ 51.65, I 17

Structure:
a = 4.1241 Å, b = 4.3533 Å, c = 5.1780 Å
α = 84.50°, β = 75.00°, γ = 79.54°
Fractional positions:
Ba 0.0000 0.0000 0.0000
Ag 0.5692 0.4895 0.5508
O 0.4241 0.4170 0.9889
O 0.5509 0.6107 0.1390
O 0.6307 0.9783 0.5717